Structure and simulated XRD peak list of PaPt4Rh (DFT lattice parameters and positions (PBE); CuKα).
No peak broadening, texture or thermal motion is included.

Principal peaks in the range 15° ≤ 2θ ≤ 90°, low angle first:
two_theta, d_spacing, I_rel, index
37.48, 2.399, 1000, 1 3 -1
38.39, 2.345, 470, 2 0 0
39.01, 2.309, 449, 0 0 2
43.20, 2.094, 339, 2 0 -2
44.81, 2.023, 609, 1 3 1
63.56, 1.464, 326, 3 3 -1

Atomic structure:
```
data_PaPt4Rh
_chemical_formula_sum 'Pa2 Pt8 Rh2'
_cell_length_a 5.0772
_cell_length_b 8.7812
_cell_length_c 4.9985
_cell_angle_alpha 90.00
_cell_angle_beta 112.52
_cell_angle_gamma 90.00
_space_group_name_H-M_alt 'C 1 2/m 1'
_space_group_IT_number 12
_space_group_name_Hall '-C 2y'
loop_
_atom_site_label
_atom_site_fract_x
_atom_site_fract_y
_atom_site_fract_z
Pa1 0.0000 0.0000 0.0000
Pt1 0.0000 0.1706 0.5000
Pt2 0.0000 0.3356 0.0000
Rh1 0.0000 0.5000 0.5000
```

***

Structure and simulated XRD peak list of CuRuBr2 (DFT lattice parameters and positions (PBE); CuKα).
No peak broadening, texture or thermal motion is included.

Principal peaks in the range 15° ≤ 2θ ≤ 90°, low angle first:
two_theta, d_spacing, I_rel, index
28.88, 3.092, 272, 1 0 1
35.24, 2.547, 738, 1 0 2
37.75, 2.383, 902, 1 1 0
44.07, 2.055, 1000, 1 0 3
54.46, 1.685, 335, 2 0 0
72.56, 1.303, 561, 2 1 3

Atomic structure:
```
data_CuRuBr2
_chemical_formula_sum 'Cu1 Ru1 Br2'
_cell_length_a 3.3697
_cell_length_b 3.3697
_cell_length_c 7.7773
_cell_angle_alpha 90.00
_cell_angle_beta 90.00
_cell_angle_gamma 90.00
_space_group_name_H-M_alt 'P 4 m m'
_space_group_IT_number 99
_space_group_name_Hall 'P 4 -2'
loop_
_atom_site_label
_atom_site_fract_x
_atom_site_fract_y
_atom_site_fract_z
Cu1 0.0000 0.0000 0.0000
Ru1 0.5000 0.5000 0.1681
Br1 0.0000 0.0000 0.3802
Br2 0.5000 0.5000 0.8338
```